[1]
Nd2Fe12P7: calculated powder X-ray diffraction pattern (Cu Kα (weighted mean of Kα1 and Kα2)), based on the PBE geometry in the Materials Project.

Structural model:
Unit cell a=9.046 b=9.046 c=3.677 alpha=90.00 beta=90.00 gamma=120.00
Fractional positions:
Nd  0.000  0.000  0.000
Nd  0.333  0.667  0.500
Fe  0.037  0.759  0.500
Fe  0.097  0.381  0.000
Fe  0.241  0.279  0.500
Fe  0.284  0.903  0.000
Fe  0.451  0.236  0.000
Fe  0.514  0.060  0.500
Fe  0.546  0.486  0.500
Fe  0.619  0.716  0.000
Fe  0.721  0.963  0.500
Fe  0.764  0.215  0.000
Fe  0.785  0.549  0.000
Fe  0.940  0.454  0.500
P  0.063  0.622  0.000
P  0.261  0.037  0.500
P  0.378  0.441  0.000
P  0.559  0.937  0.000
P  0.667  0.333  0.500
P  0.775  0.739  0.500
P  0.963  0.225  0.500

Principal peaks in the range 5 to 70 degrees two-theta, sorted by position:
2theta	I/Imax
26.79	11
30.18	9
34.34	11
39.06	100
41.57	9
46.36	10
48.68	10
49.59	18
53.61	15
57.04	12

***

[2]
NdFe4P12: calculated powder X-ray diffraction pattern (Cu Kα (weighted mean of Kα1 and Kα2)), based on the PBE geometry in the Materials Project.

Structural model:
Unit cell a=6.765 b=6.765 c=6.765 alpha=109.47 beta=109.47 gamma=109.47
Fractional positions:
Nd  0.000  0.000  0.000
Fe  0.000  0.000  0.500
Fe  0.000  0.500  0.000
Fe  0.500  0.000  0.000
Fe  0.500  0.500  0.500
P  0.152  0.505  0.353
P  0.152  0.798  0.647
P  0.202  0.353  0.848
P  0.353  0.152  0.505
P  0.353  0.848  0.202
P  0.495  0.647  0.848
P  0.505  0.353  0.152
P  0.647  0.152  0.798
P  0.647  0.848  0.495
P  0.798  0.647  0.152
P  0.848  0.202  0.353
P  0.848  0.495  0.647

Principal peaks in the range 5 to 70 degrees two-theta, sorted by position:
2theta	I/Imax
16.05	41
27.98	28
32.42	87
36.37	100
43.34	72
46.51	14
52.38	15
57.83	62
60.43	46
65.45	10

***

[3]
Nd6Fe13Pb: calculated powder X-ray diffraction pattern (Cu Kα (weighted mean of Kα1 and Kα2)), based on the PBE geometry in the Materials Project.

Structural model:
Unit cell a=13.084 b=13.084 c=13.084 alpha=143.99 beta=143.99 gamma=51.84
Fractional positions:
Nd  0.022  0.522  0.175
Nd  0.104  0.104  0.000
Nd  0.153  0.978  0.500
Nd  0.347  0.847  0.825
Nd  0.396  0.396  0.000
Nd  0.478  0.653  0.500
Nd  0.522  0.347  0.500
Nd  0.604  0.604  0.000
Nd  0.653  0.153  0.175
Nd  0.847  0.022  0.500
Nd  0.896  0.896  0.000
Nd  0.978  0.478  0.825
Fe  0.000  0.500  0.500
Fe  0.020  0.293  0.500
Fe  0.067  0.210  0.277
Fe  0.120  0.620  0.857
Fe  0.207  0.480  0.500
Fe  0.210  0.933  0.144
Fe  0.237  0.737  0.857
Fe  0.263  0.120  0.500
Fe  0.290  0.433  0.723
Fe  0.293  0.793  0.273
Fe  0.380  0.237  0.500
Fe  0.433  0.710  0.144
Fe  0.480  0.980  0.273
Fe  0.500  0.000  0.500
Fe  0.520  0.020  0.727
Fe  0.567  0.290  0.856
Fe  0.620  0.763  0.500
Fe  0.707  0.207  0.727
Fe  0.710  0.567  0.277
Fe  0.737  0.880  0.500
Fe  0.763  0.263  0.143
Fe  0.790  0.067  0.856
Fe  0.793  0.520  0.500
Fe  0.880  0.380  0.143
Fe  0.933  0.790  0.723
Fe  0.980  0.707  0.500
Pb  0.250  0.250  0.000
Pb  0.750  0.750  0.000

Principal peaks in the range 5 to 70 degrees two-theta, sorted by position:
2theta	I/Imax
27.15	69
27.57	35
31.22	100
31.78	46
34.28	40
35.08	97
37.82	65
42.66	44
46.45	34
57.61	32

***

[4]
Nd3Fe3Sb7: calculated powder X-ray diffraction pattern (Cu Kα (weighted mean of Kα1 and Kα2)), based on the PBE geometry in the Materials Project.

Structural model:
Unit cell a=13.305 b=13.305 c=4.229 alpha=90.00 beta=90.00 gamma=120.00
Fractional positions:
Nd  0.183  0.462  0.250
Nd  0.278  0.817  0.250
Nd  0.462  0.278  0.750
Nd  0.538  0.722  0.250
Nd  0.722  0.183  0.750
Nd  0.817  0.538  0.750
Fe  0.052  0.926  0.250
Fe  0.074  0.125  0.250
Fe  0.125  0.052  0.750
Fe  0.875  0.948  0.250
Fe  0.926  0.875  0.750
Fe  0.948  0.074  0.750
Sb  0.023  0.590  0.250
Sb  0.083  0.810  0.750
Sb  0.190  0.273  0.750
Sb  0.273  0.083  0.250
Sb  0.333  0.667  0.750
Sb  0.410  0.434  0.250
Sb  0.434  0.023  0.750
Sb  0.566  0.977  0.250
Sb  0.590  0.566  0.750
Sb  0.667  0.333  0.250
Sb  0.727  0.917  0.750
Sb  0.810  0.727  0.250
Sb  0.917  0.190  0.250
Sb  0.977  0.410  0.750

Principal peaks in the range 5 to 70 degrees two-theta, sorted by position:
2theta	I/Imax
27.92	41
29.44	83
31.47	21
34.30	21
35.20	100
35.71	43
42.77	32
43.74	20
56.90	22
68.86	16

***

[5]
NdFeSb3: calculated powder X-ray diffraction pattern (Cu Kα (weighted mean of Kα1 and Kα2)), based on the PBE geometry in the Materials Project.

Structural model:
Unit cell a=12.726 b=6.147 c=12.134 alpha=90.00 beta=90.00 gamma=90.00
Fractional positions:
Nd  0.195  0.225  0.250
Nd  0.195  0.275  0.750
Nd  0.201  0.750  0.000
Nd  0.201  0.750  0.500
Nd  0.799  0.250  0.000
Nd  0.799  0.250  0.500
Nd  0.805  0.725  0.250
Nd  0.805  0.775  0.750
Fe  0.400  0.039  0.639
Fe  0.400  0.039  0.861
Fe  0.400  0.461  0.139
Fe  0.400  0.461  0.361
Fe  0.600  0.539  0.639
Fe  0.600  0.539  0.861
Fe  0.600  0.961  0.139
Fe  0.600  0.961  0.361
Sb  0.003  0.013  0.624
Sb  0.003  0.013  0.876
Sb  0.003  0.487  0.124
Sb  0.003  0.487  0.376
Sb  0.281  0.250  0.000
Sb  0.281  0.250  0.500
Sb  0.284  0.731  0.250
Sb  0.284  0.769  0.750
Sb  0.442  0.110  0.250
Sb  0.442  0.390  0.750
Sb  0.472  0.750  0.000
Sb  0.472  0.750  0.500
Sb  0.528  0.250  0.000
Sb  0.528  0.250  0.500
Sb  0.558  0.610  0.250
Sb  0.558  0.890  0.750
Sb  0.716  0.231  0.250
Sb  0.716  0.269  0.750
Sb  0.719  0.750  0.000
Sb  0.719  0.750  0.500
Sb  0.997  0.513  0.624
Sb  0.997  0.513  0.876
Sb  0.997  0.987  0.124
Sb  0.997  0.987  0.376

Principal peaks in the range 5 to 70 degrees two-theta, sorted by position:
2theta	I/Imax
28.05	30
29.47	31
30.29	23
32.35	64
32.70	49
35.03	100
36.09	27
36.41	35
41.84	75
55.89	33

***

[6]
Nd2FeSb4: calculated powder X-ray diffraction pattern (Cu Kα (weighted mean of Kα1 and Kα2)), based on the PBE geometry in the Materials Project.

Structural model:
Unit cell a=4.431 b=4.431 c=9.597 alpha=90.00 beta=90.00 gamma=90.00
Fractional positions:
Nd  0.000  0.500  0.238
Nd  0.500  0.000  0.762
Fe  0.500  0.500  0.000
Sb  0.000  0.000  0.500
Sb  0.000  0.500  0.876
Sb  0.500  0.000  0.124
Sb  0.500  0.500  0.500

Principal peaks in the range 5 to 70 degrees two-theta, sorted by position:
2theta	I/Imax
27.40	23
27.89	21
30.00	59
34.18	100
34.58	60
40.73	62
51.92	17
54.47	32
58.96	21
69.95	24